No. 1
# In4Pb2Br9
Computed powder diffraction line list, Cu Kα (λ = 1.5418 Å). Input: a crystal structure in Alexandria, relaxed with PBE.

Top 8 peaks for 2θ = 15–90°, by angle:
d (Å)  Position (°2θ)  Rel. int.
5.772  15.4  40
4.307  20.6  44
3.888  22.9  27
3.449  25.8  56
2.886  31.0  28
2.694  33.3  100
2.317  38.9  25
2.245  40.2  53

Structural model:
abc: 7.7755 7.7755 22.4134
angles: 90.00 90.00 120.00
Fractional coordinates of all 30 atoms:
1 In 0.3333 0.6667 0.1722
2 In 0.3333 0.6667 0.4835
3 In 0.3333 0.6667 0.6815
4 In 0.3333 0.6667 0.9828
5 In 0.6667 0.3333 0.0172
6 In 0.6667 0.3333 0.3185
7 In 0.6667 0.3333 0.5165
8 In 0.6667 0.3333 0.8278
9 Pb 0.0000 0.0000 0.1583
10 Pb 0.0000 0.0000 0.3461
11 Pb 0.0000 0.0000 0.6539
12 Pb 0.0000 0.0000 0.8417
13 Br 0.0274 0.3611 0.0911
14 Br 0.0352 0.6955 0.5873
15 Br 0.0432 0.7202 0.2454
16 Br 0.2798 0.3230 0.2454
17 Br 0.3045 0.3397 0.5873
18 Br 0.3230 0.0432 0.7546
19 Br 0.3336 0.9726 0.0911
20 Br 0.3397 0.0352 0.4127
21 Br 0.3611 0.3336 0.9089
22 Br 0.6389 0.6664 0.0911
23 Br 0.6603 0.9648 0.5873
24 Br 0.6664 0.0274 0.9089
25 Br 0.6770 0.9568 0.2454
26 Br 0.6955 0.6603 0.4127
27 Br 0.7202 0.6770 0.7546
28 Br 0.9568 0.2798 0.7546
29 Br 0.9648 0.3045 0.4127
30 Br 0.9726 0.6389 0.9089

---

No. 2
# InPbBr2
Computed powder diffraction line list, Cu Kα (λ = 1.5418 Å). Input: a crystal structure in Alexandria, relaxed with PBE.

Top 8 peaks for 2θ = 15–90°, by angle:
d (Å)  Position (°2θ)  Rel. int.
3.712  24.0  23
3.388  26.3  54
2.996  29.8  100
2.669  33.6  72
2.331  38.6  27
2.217  40.7  26
2.166  41.7  20
1.578  58.5  29

Structural model:
abc: 3.7117 4.3327 8.2929
angles: 90.00 90.00 90.00
Fractional coordinates of all 4 atoms:
1 In 0.0000 0.0000 0.0000
2 Pb 0.5000 0.0000 0.5000
3 Br 0.5000 0.5000 0.2334
4 Br 0.5000 0.5000 0.7666

---

No. 3
# InPbBr5
Computed powder diffraction line list, Cu Kα (λ = 1.5418 Å). Input: a crystal structure in Alexandria, relaxed with PBE.

Top 8 peaks for 2θ = 15–90°, by angle:
d (Å)  Position (°2θ)  Rel. int.
5.425  16.3  31
5.015  17.7  76
4.938  18.0  100
3.928  22.6  30
3.402  26.2  26
3.029  29.5  29
2.773  32.3  33
2.467  36.4  27

Structural model:
abc: 7.8683 7.8683 11.0935
angles: 110.14 110.14 87.17
Fractional coordinates of all 14 atoms:
1 In 0.0973 0.9027 0.7500
2 In 0.9027 0.0973 0.2500
3 Pb 0.5000 0.5000 0.0000
4 Pb 0.5000 0.5000 0.5000
5 Br 0.1421 0.2499 0.8355
6 Br 0.1958 0.7609 0.5425
7 Br 0.2391 0.8042 0.9575
8 Br 0.2499 0.1421 0.3355
9 Br 0.4074 0.5926 0.2500
10 Br 0.5926 0.4074 0.7500
11 Br 0.7501 0.8579 0.6645
12 Br 0.7609 0.1958 0.0425
13 Br 0.8042 0.2391 0.4575
14 Br 0.8579 0.7501 0.1645

---

No. 4
# InPb5Br11
Computed powder diffraction line list, Cu Kα (λ = 1.5418 Å). Input: a crystal structure in Alexandria, relaxed with PBE.

Top 8 peaks for 2θ = 15–90°, by angle:
d (Å)  Position (°2θ)  Rel. int.
4.638  19.1  30
4.391  20.2  32
3.954  22.5  38
3.142  28.4  64
3.019  29.6  100
2.696  33.2  73
2.385  37.7  33
1.985  45.7  29

Structural model:
abc: 9.3538 9.3538 9.7360
angles: 97.19 97.19 120.05
Fractional coordinates of all 17 atoms:
1 In 0.0000 0.0000 0.0000
2 Pb 0.0671 0.3579 0.6513
3 Pb 0.3579 0.0671 0.6513
4 Pb 0.5000 0.5000 0.0000
5 Pb 0.6421 0.9329 0.3487
6 Pb 0.9329 0.6421 0.3487
7 Br 0.0000 0.0000 0.5000
8 Br 0.1084 0.6991 0.6700
9 Br 0.1268 0.3853 0.9606
10 Br 0.3009 0.8916 0.3300
11 Br 0.3853 0.1268 0.9606
12 Br 0.4328 0.4328 0.6737
13 Br 0.5672 0.5672 0.3263
14 Br 0.6147 0.8732 0.0394
15 Br 0.6991 0.1084 0.6700
16 Br 0.8732 0.6147 0.0394
17 Br 0.8916 0.3009 0.3300

---

No. 5
# InPb3Br7
Computed powder diffraction line list, Cu Kα (λ = 1.5418 Å). Input: a crystal structure in Alexandria, relaxed with PBE.

Top 8 peaks for 2θ = 15–90°, by angle:
d (Å)  Position (°2θ)  Rel. int.
4.417  20.1  84
3.387  26.3  55
3.270  27.3  39
2.831  31.6  100
2.384  37.7  24
2.352  38.3  41
2.256  40.0  30
2.172  41.6  57

Structural model:
abc: 7.3642 7.3642 7.3642
angles: 100.53 100.53 100.53
Fractional coordinates of all 11 atoms:
1 In 0.0000 0.0000 0.0000
2 Pb 0.1026 0.5516 0.5516
3 Pb 0.5516 0.1026 0.5516
4 Pb 0.5516 0.5516 0.1026
5 Br 0.2631 0.2631 0.7776
6 Br 0.2631 0.7776 0.2631
7 Br 0.3095 0.3095 0.3095
8 Br 0.4585 0.8243 0.8243
9 Br 0.7776 0.2631 0.2631
10 Br 0.8243 0.4585 0.8243
11 Br 0.8243 0.8243 0.4585

---

No. 6
# InPb2Br5
Computed powder diffraction line list, Cu Kα (λ = 1.5418 Å). Input: a crystal structure in Alexandria, relaxed with PBE.

Top 8 peaks for 2θ = 15–90°, by angle:
d (Å)  Position (°2θ)  Rel. int.
5.185  17.1  81
4.105  21.6  85
3.880  22.9  49
3.562  25.0  53
2.705  33.1  88
2.688  33.3  92
2.591  34.6  76
2.323  38.8  100

Structural model:
abc: 8.6538 8.6538 11.1455
angles: 108.41 108.41 56.63
Fractional coordinates of all 16 atoms:
1 In 0.0000 0.0000 0.0000
2 In 0.0000 0.0000 0.5000
3 Pb 0.3748 0.3806 0.7949
4 Pb 0.3806 0.3748 0.2949
5 Pb 0.6194 0.6252 0.7051
6 Pb 0.6252 0.6194 0.2051
7 Br 0.0254 0.3760 0.6612
8 Br 0.2250 0.7750 0.7500
9 Br 0.2649 0.5625 0.0627
10 Br 0.3760 0.0254 0.1612
11 Br 0.4375 0.7351 0.4373
12 Br 0.5625 0.2649 0.5627
13 Br 0.6240 0.9746 0.8388
14 Br 0.7351 0.4375 0.9373
15 Br 0.7750 0.2250 0.2500
16 Br 0.9746 0.6240 0.3388

---

No. 7
# Rb2InPbBr6
Computed powder diffraction line list, Cu Kα (λ = 1.5418 Å). Input: a crystal structure in Alexandria, relaxed with PBE.

Top 8 peaks for 2θ = 15–90°, by angle:
d (Å)  Position (°2θ)  Rel. int.
5.860  15.1  62
4.144  21.4  54
3.384  26.3  23
2.931  30.5  100
2.621  34.2  44
2.393  37.6  26
2.072  43.7  69
1.953  46.5  28

Structural model:
abc: 8.2846 8.2846 8.2852
angles: 119.94 119.94 90.05
Fractional coordinates of all 10 atoms:
1 Rb 0.2497 0.7503 0.0000
2 Rb 0.7503 0.2497 0.0000
3 In 0.4574 0.4574 0.4986
4 Pb 0.9578 0.9578 0.4987
5 Br 0.2022 0.2022 0.0086
6 Br 0.2030 0.6928 0.4982
7 Br 0.2100 0.2100 0.4980
8 Br 0.6928 0.2030 0.4982
9 Br 0.6934 0.6934 0.9887
10 Br 0.6995 0.6995 0.4996

---

No. 8
# RbIn2Pb2Br7
Computed powder diffraction line list, Cu Kα (λ = 1.5418 Å). Input: a crystal structure in Alexandria, relaxed with PBE.

Top 8 peaks for 2θ = 15–90°, by angle:
d (Å)  Position (°2θ)  Rel. int.
5.240  16.9  100
4.558  19.5  48
4.209  21.1  72
2.938  30.4  52
2.800  32.0  96
2.674  33.5  89
2.595  34.6  82
2.054  44.1  48

Structural model:
abc: 13.8029 13.8029 13.8029
angles: 157.66 37.56 150.21
Fractional coordinates of all 12 atoms:
1 Rb 0.0000 0.0000 0.0000
2 In 0.2033 0.4993 0.7040
3 In 0.7953 0.4993 0.2960
4 Pb 0.3356 0.9465 0.3891
5 Pb 0.5574 0.9465 0.6109
6 Br 0.1343 0.2597 0.8746
7 Br 0.3321 0.8321 0.5000
8 Br 0.3379 0.0624 0.2755
9 Br 0.3851 0.2597 0.1254
10 Br 0.7534 0.3380 0.4154
11 Br 0.7869 0.0624 0.7245
12 Br 0.9225 0.3380 0.5846